(1)
This entry pairs a crystal structure of Na3Li3Fe2P2C2O14 with its calculated X-ray powder pattern. Radiation: copper Kα. Structure: DFT lattice parameters and positions (GGA+U).
Neutral-atom scattering factors, no anomalous dispersion.

Crystal structure
a b c (Å): 6.6418 8.7741 10.1978
angles (deg): 91.87 90.00 90.52
Space group P1 (No. 1)
Unique sites:
Na 0.0000 0.0000 0.0000 x1
Na 0.0003 0.0016 0.4980 x1
Na 0.2535 0.8251 0.7411 x1
Na 0.2549 0.3386 0.4947 x1
Na 0.2552 0.3439 0.9953 x1
Na 0.7520 0.8246 0.7400 x1
Li 0.2289 0.8098 0.2387 x1
Li 0.5180 0.1783 0.7456 x1
Li 0.5195 0.1750 0.2436 x1
Li 0.7341 0.3563 0.5018 x1
Li 0.7359 0.3585 0.0015 x1
Li 0.7755 0.8106 0.2376 x1
Fe 0.5020 0.7274 0.5001 x1
Fe 0.5028 0.7356 0.0166 x1
Fe 0.9970 0.4326 0.2309 x1
Fe 0.9971 0.4363 0.7264 x1
P 0.5051 0.4926 0.7644 x1
P 0.5067 0.4931 0.2683 x1
P 0.9969 0.6670 0.9785 x1
P 0.9973 0.6714 0.4662 x1
C 0.9997 0.1323 0.2538 x1
C 0.5114 0.0381 0.4806 x1
C 0.5128 0.0396 0.9830 x1
C 0.9989 0.1442 0.7566 x1
O 0.0018 0.6526 0.8258 x1
O 0.0017 0.6566 0.3116 x1
O 0.0034 0.2048 0.6416 x1
O 0.0033 0.9841 0.2584 x1
O 0.0039 0.1996 0.1418 x1
O 0.0052 0.9978 0.7664 x1
O 0.1875 0.7603 0.5136 x1
O 0.1887 0.7558 0.0293 x1
O 0.3123 0.3954 0.7341 x1
O 0.3124 0.4012 0.2336 x1
O 0.4989 0.9296 0.3900 x1
O 0.5001 0.6486 0.6981 x1
O 0.5021 0.9343 0.8891 x1
O 0.5051 0.0040 0.6040 x1
O 0.5054 0.6585 0.2162 x1
O 0.5065 0.9993 0.1045 x1
O 0.5274 0.5176 0.9162 x1
O 0.5294 0.1785 0.4451 x1
O 0.5288 0.1815 0.9517 x1
O 0.5303 0.5067 0.4209 x1
O 0.6797 0.3937 0.2093 x1
O 0.6814 0.3916 0.7106 x1
O 0.8159 0.7681 0.0246 x1
O 0.8159 0.7708 0.5089 x1
O 0.9827 0.5054 0.0334 x1
O 0.9855 0.5092 0.5225 x1
O 0.9877 0.2333 0.8607 x1
O 0.9913 0.2179 0.3602 x1

Top 8 peaks for 10 to 80 degrees two-theta, sorted by position:
| hkl | Position (°2θ) | I (rel.) |
| --- | --- | --- |
| 0 1 0 | 10.09 | 96 |
| 0 1 -2 | 19.86 | 34 |
| 0 1 2 | 20.44 | 33 |
| 0 2 -2 | 26.38 | 33 |
| 2 0 0 | 26.85 | 100 |
| 0 3 0 | 30.57 | 24 |
| 2 -2 0 | 33.70 | 31 |
| 0 0 4 | 35.22 | 46 |

***

(2)
This entry pairs a crystal structure of MgW2O4 with its calculated X-ray powder pattern. Radiation: copper Kα. Structure: DFT lattice parameters and positions (GGA+U).
Neutral-atom scattering factors, no anomalous dispersion.

Crystal structure
a b c (Å): 6.2367 6.5533 8.9195
angles (deg): 90.00 90.00 90.00
Space group Imma (No. 74)
Unique sites:
Mg 0.0000 0.0000 0.0000 x4
W 0.0000 0.2500 0.3502 x4
W 0.2500 0.2500 0.7500 x4
O 0.0000 0.0231 0.7650 x8
O 0.2373 0.2500 0.9945 x8

Top 8 peaks for 10 to 80 degrees two-theta, sorted by position:
| hkl | Position (°2θ) | I (rel.) |
| --- | --- | --- |
| 0 0 2 | 19.91 | 32 |
| 0 2 0 | 27.22 | 39 |
| 1 1 2 | 28.12 | 38 |
| 0 1 3 | 33.09 | 24 |
| 2 1 1 | 33.37 | 100 |
| 2 0 4 | 50.34 | 20 |
| 2 3 1 | 52.14 | 27 |
| 2 2 4 | 58.13 | 27 |

***

(3)
This entry pairs a crystal structure of Li4Cr3CoP4O16 with its calculated X-ray powder pattern. Radiation: copper Kα. Structure: DFT lattice parameters and positions (GGA+U).
Neutral-atom scattering factors, no anomalous dispersion.

Crystal structure
a b c (Å): 4.7721 6.2758 10.2365
angles (deg): 90.00 90.41 90.00
Space group Pm (No. 6)
Unique sites:
Li 0.0000 0.2467 0.0000 x2
Li 0.5071 0.2480 0.5018 x2
Cr 0.0478 0.5000 0.7197 x1
Cr 0.4529 0.5000 0.2172 x1
Cr 0.9575 0.0000 0.2855 x1
Co 0.5228 0.0000 0.7802 x1
P 0.0860 0.0000 0.5956 x1
P 0.4184 0.0000 0.0959 x1
P 0.5851 0.5000 0.9071 x1
P 0.9216 0.5000 0.4073 x1
O 0.2028 0.0000 0.4532 x1
O 0.2239 0.1957 0.6655 x2
O 0.2463 0.5000 0.4007 x1
O 0.2608 0.5000 0.9012 x1
O 0.2874 0.1975 0.1645 x2
O 0.3020 0.0000 0.9526 x1
O 0.6964 0.5000 0.0512 x1
O 0.7163 0.2988 0.8408 x2
O 0.7428 0.0000 0.1030 x1
O 0.7621 0.0000 0.5993 x1
O 0.7882 0.3014 0.3403 x2
O 0.8128 0.5000 0.5505 x1

Top 8 peaks for 10 to 80 degrees two-theta, sorted by position:
| hkl | Position (°2θ) | I (rel.) |
| --- | --- | --- |
| 0 0 2 | 17.33 | 38 |
| 1 0 -1 | 20.48 | 48 |
| 1 0 1 | 20.59 | 41 |
| 0 1 2 | 22.42 | 28 |
| 1 1 1 | 25.00 | 97 |
| 0 2 0 | 28.44 | 100 |
| 1 1 -3 | 35.27 | 87 |
| 1 1 3 | 35.44 | 84 |

***

(4)
This entry pairs a crystal structure of Ca2SnWO6 with its calculated X-ray powder pattern. Radiation: copper Kα. Structure: DFT lattice parameters and positions (GGA+U).
Neutral-atom scattering factors, no anomalous dispersion.

Crystal structure
a b c (Å): 5.6610 5.9632 10.0408
angles (deg): 90.00 124.32 90.00
Space group P2_1/c (No. 14)
Unique sites:
Ca 0.2298 0.0593 0.2460 x4
Sn 0.0000 0.0000 0.5000 x2
W 0.5000 0.0000 0.0000 x2
O 0.1571 0.1655 0.9413 x4
O 0.2708 0.7238 0.9210 x4
O 0.4129 0.0654 0.7840 x4

Top 8 peaks for 10 to 80 degrees two-theta, sorted by position:
| hkl | Position (°2θ) | I (rel.) |
| --- | --- | --- |
| 0 0 2 | 21.43 | 24 |
| 1 1 -1 | 21.65 | 51 |
| 0 2 0 | 29.97 | 24 |
| 1 1 1 | 30.65 | 100 |
| 2 0 -2 | 31.61 | 21 |
| 2 2 -2 | 44.12 | 21 |
| 1 3 1 | 53.63 | 19 |
| 3 1 -1 | 55.69 | 24 |